1.
Simulated X-ray powder pattern
Compound: AlAgGe
Radiation: Cu Ka
Structure: a DFT-relaxed cell (PBE, Alexandria)

Peak list (10 most intense, 2θ = 10–80°, by angle)
12.29 deg, I 12
18.85 deg, I 15
25.77 deg, I 17
37.44 deg, I 100
38.26 deg, I 34
43.54 deg, I 44
44.18 deg, I 21
63.20 deg, I 13
64.31 deg, I 12
75.91 deg, I 12

Structure:
abc: 2.964 4.981 7.759
angles: 71.38 79.00 89.93
Sites, in units of the cell vectors:
Al: 0.000 0.000 0.000
Al: 0.168 0.795 0.663
Ag: 0.334 0.652 0.329
Ag: 0.664 0.285 0.671
Ge: 0.508 0.509 0.988
Ge: 0.828 0.140 0.337

2.
Simulated X-ray powder pattern
Compound: V3Cr2W2
Radiation: Cu Ka
Structure: a DFT-relaxed cell (PBE, Alexandria)

Peak list (10 most intense, 2θ = 10–80°, by angle)
25.63 deg, I 11
29.01 deg, I 19
29.65 deg, I 16
39.59 deg, I 35
41.97 deg, I 100
46.04 deg, I 17
52.24 deg, I 14
73.46 deg, I 14
73.76 deg, I 11
77.32 deg, I 15

Structure:
abc: 10.544 10.544 3.012
angles: 90.00 90.00 163.03
Sites, in units of the cell vectors:
V: 0.000 0.000 0.000
V: 0.150 0.850 0.000
V: 0.850 0.150 0.000
Cr: 0.288 0.712 0.500
Cr: 0.712 0.288 0.500
W: 0.426 0.574 0.500
W: 0.574 0.426 0.500

3.
Simulated X-ray powder pattern
Compound: Rb2HgBr6N
Radiation: Cu Ka
Structure: a DFT-relaxed cell (PBE, Alexandria)

Peak list (10 most intense, 2θ = 10–80°, by angle)
16.82 deg, I 32
23.68 deg, I 36
28.03 deg, I 32
29.19 deg, I 78
33.46 deg, I 51
34.01 deg, I 100
36.89 deg, I 35
48.46 deg, I 68
48.87 deg, I 34
60.52 deg, I 34

Structure:
abc: 7.515 7.515 7.515
angles: 120.52 120.52 89.09
Sites, in units of the cell vectors:
Rb: 0.250 0.750 0.500
Rb: 0.750 0.250 0.500
Hg: 0.000 0.000 0.000
Br: 0.265 0.265 0.530
Br: 0.265 0.735 0.000
Br: 0.273 0.273 0.000
Br: 0.727 0.727 0.000
Br: 0.735 0.265 0.000
Br: 0.735 0.735 0.470
N: 0.500 0.500 0.000